For Mo2P2O11, a PBE+U-relaxed structure gives the calculated powder diffractogram in this record (Cu Ka).

Cell and atoms:
```
data_Mo2P2O11
_symmetry_space_group_name_H-M 'P 1 21/m 1'
_symmetry_Int_Tables_number 11
_symmetry_space_group_name_Hall '-P 2yb'
_cell_length_a 7.7438
_cell_length_b 6.4371
_cell_length_c 9.1273
_cell_angle_alpha 90.00
_cell_angle_beta 105.23
_cell_angle_gamma 90.00
loop_
_atom_site_label
_atom_site_fract_x
_atom_site_fract_y
_atom_site_fract_z
Mo1 0.1038 0.2500 0.2152
Mo2 0.3299 0.2500 0.6494
P1 0.0038 0.7500 0.1691
P2 0.4390 0.7500 0.6205
O1 0.1085 0.2500 0.7092
O2 0.1254 0.2500 0.9884
O3 0.1250 0.7500 0.8403
O4 0.1285 0.5596 0.2017
O5 0.1501 0.2500 0.4178
O6 0.3177 0.5565 0.6213
O7 0.3953 0.2500 0.2483
O8 0.4755 0.2500 0.8240
O9 0.4809 0.7500 0.4619
```

Largest 10 diffraction maxima, in order of falling intensity, 10 to 90 degrees two-theta:
2θ 18.19, 4.877 Å, I 100; 2θ 27.72, 3.219 Å, I 87; 2θ 23.29, 3.819 Å, I 70; 2θ 20.17, 4.403 Å, I 52; 2θ 17.47, 5.077 Å, I 50; 2θ 26.05, 3.421 Å, I 50; 2θ 29.62, 3.016 Å, I 48; 2θ 13.38, 6.620 Å, I 42; 2θ 10.04, 8.807 Å, I 33; 2θ 19.23, 4.615 Å, I 31